Ba3CrSb2O8: calculated XRD peak list (Cu Kα), based on the PBE+U geometry in Alexandria.
Lines closer than 0.1° are merged.

Main lines, most intense first (10 to 90 degrees two-theta):
d_spacing	I (rel.)	hkl
2.988	100.0	1 1 0
3.138	78.2	0 1 2
2.164	41.7	2 0 2
1.753	29.2	1 2 2
1.844	20.7	1 0 4
1.569	20.6	0 2 4

Structure:
a b c (Å): 5.9767 5.9767 7.8913
angles (deg): 90.00 90.00 120.00
Space group P-3m1 (No. 164)
Unique sites:
Ba 0.0000 0.0000 0.0000
Ba 0.3333 0.6667 0.6372
Cr 0.0000 0.0000 0.5000
Sb 0.3333 0.6667 0.2094
O 0.1600 0.3200 0.3372
O 0.3333 0.6667 0.9539